Structure and calculated powder diffractogram of Ac2YTmO6 (a structure optimized by DFT (PBE); Cu Kα X-rays).

Top 10 peaks for 10 to 80 degrees two-theta, low angle first:
Position (°2θ), I (rel.), index
28.9, 22, 0 2 0
29.3, 100, 1 1 1
29.7, 24, 2 0 -2
41.9, 32, 0 0 4
51.5, 14, 1 3 -3
51.7, 10, 0 2 4
52.2, 12, 2 0 2
52.5, 23, 3 1 -5
60.8, 12, 2 2 2
68.8, 12, 1 1 -7

Structural model:
Unit cell a=6.0145 b=6.1778 c=10.5103 alpha=90.00 beta=124.83 gamma=90.00
Space group P2_1/c (No. 14)
Symmetry-distinct sites (fractional):
Ac 0.2362 0.0467 0.2501 [4 per cell]
Y 0.5000 0.0000 0.0000 [2 per cell]
Tm 0.0000 0.0000 0.5000 [2 per cell]
O 0.1355 0.2026 0.9384 [4 per cell]
O 0.2373 0.6984 0.9393 [4 per cell]
O 0.3608 0.0477 0.7474 [4 per cell]